# Li3MnPCO7
Computed X-ray diffraction stick pattern, Cu Kα, 1.54184 Å. Input: DFT lattice parameters and positions (PBE+U).
Peak positions follow from Bragg's law for the DFT cell and can differ from measured ones.

Structure:
```
data_Li3MnPCO7
_chemical_formula_sum 'Li6 Mn2 P2 C2 O14'
_symmetry_space_group_name_H-M 'P -1'
_symmetry_Int_Tables_number 2
_cell_length_a 5.4212
_cell_length_b 6.7760
_cell_length_c 8.7206
_cell_angle_alpha 103.89
_cell_angle_beta 92.09
_cell_angle_gamma 97.05
loop_
_symmetry_equiv_pos_as_xyz
'x,y,z'
'-x,-y,-z'
loop_
_atom_site_label
_atom_site_fract_x
_atom_site_fract_y
_atom_site_fract_z
Li1 0.0334 0.0215 0.2853
Li2 0.1309 0.6416 0.2607
Li3 0.4036 0.3546 0.2688
Mn1 0.3561 0.2688 0.9011
P1 0.1715 0.7650 0.9446
C1 0.3344 0.2612 0.5694
O1 0.0976 0.3486 0.1095
O2 0.1664 0.2209 0.6687
O3 0.2124 0.8337 0.1276
O4 0.2271 0.9441 0.8650
O5 0.2725 0.2169 0.4213
O6 0.3686 0.6116 0.8948
O7 0.4456 0.6534 0.3719
```

The 12 most intense peaks (2θ = 10–90°), low angle first:
- 10.47°, intensity 100
- 14.98°, intensity 9
- 19.95°, intensity 13
- 23.20°, intensity 7
- 23.62°, intensity 11
- 25.94°, intensity 12
- 27.37°, intensity 31
- 29.97°, intensity 7
- 30.23°, intensity 10
- 34.37°, intensity 8
- 41.07°, intensity 9
- 42.79°, intensity 11